[1]
Simulated X-ray diffraction stick pattern of SmDy12Th7 for a wavelength of 1.5418 Å, from a cell relaxed with PBE.

Cell and atoms:
Cell: 9.9914 9.9914 9.9914 Å, 109.47 109.47 109.47°
Fractional positions:
Sm: 0.0000 0.0000 0.0000
Dy: 0.0000 0.2571 0.7429
Dy: 0.0000 0.7429 0.2571
Dy: 0.2571 0.0000 0.7429
Dy: 0.2571 0.2571 0.5142
Dy: 0.2571 0.5142 0.2571
Dy: 0.2571 0.7429 0.0000
Dy: 0.4858 0.7429 0.7429
Dy: 0.5142 0.2571 0.2571
Dy: 0.7429 0.0000 0.2571
Dy: 0.7429 0.2571 0.0000
Dy: 0.7429 0.4858 0.7429
Dy: 0.7429 0.7429 0.4858
Th: 0.0000 0.0000 0.5000
Th: 0.0000 0.5000 0.0000
Th: 0.0000 0.5000 0.5000
Th: 0.5000 0.0000 0.0000
Th: 0.5000 0.0000 0.5000
Th: 0.5000 0.5000 0.0000
Th: 0.5000 0.5000 0.5000

Top 6 peaks for 2θ from 5° to 70°, most intense first:
2θ/deg	intensity
31.0	100
44.4	75
26.8	50
21.8	41
55.2	26
52.6	22

[2]
Simulated X-ray diffraction stick pattern of Sm15Dy4Th for a wavelength of 1.5418 Å, from a cell relaxed with PBE.

Cell and atoms:
Cell: 5.1105 5.1105 25.5089 Å, 90.00 90.00 90.00°
Fractional positions:
Sm: 0.0000 0.0000 0.0000
Sm: 0.0000 0.0000 0.2016
Sm: 0.0000 0.0000 0.4003
Sm: 0.0000 0.0000 0.5997
Sm: 0.0000 0.0000 0.7984
Sm: 0.0000 0.5000 0.0990
Sm: 0.0000 0.5000 0.3000
Sm: 0.0000 0.5000 0.5000
Sm: 0.0000 0.5000 0.7000
Sm: 0.0000 0.5000 0.9010
Sm: 0.5000 0.0000 0.0990
Sm: 0.5000 0.0000 0.3000
Sm: 0.5000 0.0000 0.5000
Sm: 0.5000 0.0000 0.7000
Sm: 0.5000 0.0000 0.9010
Dy: 0.5000 0.5000 0.2002
Dy: 0.5000 0.5000 0.4001
Dy: 0.5000 0.5000 0.5999
Dy: 0.5000 0.5000 0.7998
Th: 0.5000 0.5000 0.0000

Top 5 peaks for 2θ from 5° to 70°, most intense first:
2θ/deg	intensity
30.3	100
35.1	51
60.1	43
50.5	36
63.0	12

[3]
Simulated X-ray diffraction stick pattern of Sm6DyTh2 for a wavelength of 1.5418 Å, from a cell relaxed with PBE.

Cell and atoms:
Cell: 3.6024 3.6024 26.8166 Å, 90.00 90.00 120.00°
Fractional positions:
Sm: 0.0000 0.0000 0.0634
Sm: 0.0000 0.0000 0.2807
Sm: 0.0000 0.0000 0.7193
Sm: 0.0000 0.0000 0.9366
Sm: 0.3333 0.6667 0.3924
Sm: 0.3333 0.6667 0.6076
Dy: 0.0000 0.0000 0.5000
Th: 0.3333 0.6667 0.1707
Th: 0.3333 0.6667 0.8293

Top 6 peaks for 2θ from 5° to 70°, most intense first:
2θ/deg	intensity
33.2	100
31.6	65
30.0	52
28.6	47
60.0	44
50.7	39

[4]
Simulated X-ray diffraction stick pattern of Sm7Dy16Th6 for a wavelength of 1.5418 Å, from a cell relaxed with PBE.

Cell and atoms:
Cell: 11.1005 11.1005 11.1005 Å, 60.00 60.00 60.00°
Fractional positions:
Sm: 0.0000 0.0000 0.0000
Sm: 0.0000 0.0000 0.5000
Sm: 0.0000 0.5000 0.0000
Sm: 0.0000 0.5000 0.5000
Sm: 0.5000 0.0000 0.0000
Sm: 0.5000 0.0000 0.5000
Sm: 0.5000 0.5000 0.0000
Dy: 0.0260 0.6580 0.6580
Dy: 0.1208 0.1208 0.1208
Dy: 0.1208 0.1208 0.6376
Dy: 0.1208 0.6376 0.1208
Dy: 0.3420 0.3420 0.3420
Dy: 0.3420 0.3420 0.9740
Dy: 0.3420 0.9740 0.3420
Dy: 0.3624 0.8792 0.8792
Dy: 0.6376 0.1208 0.1208
Dy: 0.6580 0.0260 0.6580
Dy: 0.6580 0.6580 0.0260
Dy: 0.6580 0.6580 0.6580
Dy: 0.8792 0.3624 0.8792
Dy: 0.8792 0.8792 0.3624
Dy: 0.8792 0.8792 0.8792
Dy: 0.9740 0.3420 0.3420
Th: 0.3308 0.3308 0.6692
Th: 0.3308 0.6692 0.3308
Th: 0.3308 0.6692 0.6692
Th: 0.6692 0.3308 0.3308
Th: 0.6692 0.3308 0.6692
Th: 0.6692 0.6692 0.3308

Top 6 peaks for 2θ from 5° to 70°, most intense first:
2θ/deg	intensity
32.3	100
29.6	93
34.3	41
58.5	41
27.8	31
49.3	26

[5]
Simulated X-ray diffraction stick pattern of Sm6Dy3Th for a wavelength of 1.5418 Å, from a cell relaxed with PBE.

Cell and atoms:
Cell: 11.0162 12.5045 5.0085 Å, 90.00 90.00 90.00°
Fractional positions:
Sm: 0.0037 0.2192 0.0000
Sm: 0.1633 0.6397 0.5000
Sm: 0.1970 0.9980 0.0000
Sm: 0.3030 0.4980 0.0000
Sm: 0.3367 0.1397 0.5000
Sm: 0.4963 0.7192 0.0000
Sm: 0.5037 0.2808 0.0000
Sm: 0.6633 0.8603 0.5000
Sm: 0.6970 0.5020 0.0000
Sm: 0.8030 0.0020 0.0000
Sm: 0.8367 0.3603 0.5000
Sm: 0.9963 0.7808 0.0000
Dy: 0.0000 0.0000 0.5000
Dy: 0.1598 0.3661 0.5000
Dy: 0.3402 0.8661 0.5000
Dy: 0.5000 0.5000 0.5000
Dy: 0.6598 0.1339 0.5000
Dy: 0.8402 0.6339 0.5000
Th: 0.0000 0.5000 0.0000
Th: 0.5000 0.0000 0.0000

Top 6 peaks for 2θ from 5° to 70°, most intense first:
2θ/deg	intensity
31.0	100
29.0	65
33.8	57
32.5	49
35.9	46
60.5	36

[6]
Simulated X-ray diffraction stick pattern of Sm5Dy2Th3 for a wavelength of 1.5418 Å, from a cell relaxed with PBE.

Cell and atoms:
Cell: 6.2265 6.2265 11.3820 Å, 90.14 90.14 48.10°
Fractional positions:
Sm: 0.0000 0.0000 0.0000
Sm: 0.1991 0.1991 0.5991
Sm: 0.3012 0.3012 0.8975
Sm: 0.6988 0.6988 0.1025
Sm: 0.8009 0.8009 0.4009
Dy: 0.4023 0.4023 0.2045
Dy: 0.5977 0.5977 0.7955
Th: 0.0981 0.0981 0.3012
Th: 0.5000 0.5000 0.5000
Th: 0.9019 0.9019 0.6988

Top 6 peaks for 2θ from 5° to 70°, most intense first:
2θ/deg	intensity
30.5	100
35.3	34
60.4	29
50.8	24
35.4	17
60.3	15

[7]
Simulated X-ray diffraction stick pattern of Sm8Dy3Th3 for a wavelength of 1.5418 Å, from a cell relaxed with PBE.

Cell and atoms:
Cell: 9.7054 9.7054 9.7054 Å, 145.56 113.47 77.12°
Fractional positions:
Sm: 0.0617 0.3972 0.6645
Sm: 0.0658 0.2234 0.8424
Sm: 0.2673 0.6028 0.6645
Sm: 0.3810 0.2234 0.1576
Sm: 0.6190 0.7766 0.8424
Sm: 0.7327 0.3972 0.3355
Sm: 0.9342 0.7766 0.1576
Sm: 0.9383 0.6028 0.3355
Dy: 0.0000 0.0000 0.0000
Dy: 0.3122 0.0000 0.3122
Dy: 0.6878 0.0000 0.6878
Th: 0.3162 0.8162 0.5000
Th: 0.5000 0.5000 0.0000
Th: 0.6838 0.1838 0.5000

Top 6 peaks for 2θ from 5° to 70°, most intense first:
2θ/deg	intensity
31.9	100
31.1	51
33.4	44
29.4	29
30.8	25
28.9	22

[8]
Simulated X-ray diffraction stick pattern of Sm2Dy6Th3 for a wavelength of 1.5418 Å, from a cell relaxed with PBE.

Cell and atoms:
Cell: 6.1827 6.1827 11.3111 Å, 90.04 90.04 120.01°
Fractional positions:
Sm: 0.1666 0.8334 0.0000
Sm: 0.8334 0.1666 0.0000
Dy: 0.1691 0.1691 0.2543
Dy: 0.1703 0.5004 0.7458
Dy: 0.5004 0.1703 0.7458
Dy: 0.4996 0.8297 0.2542
Dy: 0.8297 0.4996 0.2542
Dy: 0.8309 0.8309 0.7457
Th: 0.1666 0.8334 0.5000
Th: 0.5000 0.5000 0.5000
Th: 0.8334 0.1666 0.5000

Top 6 peaks for 2θ from 5° to 70°, most intense first:
2θ/deg	intensity
33.0	100
30.0	50
31.6	33
7.8	31
61.4	30
37.6	29

[9]
Simulated X-ray diffraction stick pattern of SmDy7Th2 for a wavelength of 1.5418 Å, from a cell relaxed with PBE.

Cell and atoms:
Cell: 8.4219 8.4219 5.5425 Å, 109.10 109.10 84.80°
Fractional positions:
Sm: 0.0000 0.0000 0.0000
Dy: 0.1007 0.4017 0.2511
Dy: 0.3372 0.6628 0.0000
Dy: 0.4017 0.1007 0.2511
Dy: 0.5000 0.5000 0.5000
Dy: 0.5983 0.8993 0.7489
Dy: 0.6628 0.3372 0.0000
Dy: 0.8993 0.5983 0.7489
Th: 0.1559 0.8441 0.5000
Th: 0.8441 0.1559 0.5000

Top 6 peaks for 2θ from 5° to 70°, most intense first:
2θ/deg	intensity
32.8	100
32.1	28
32.3	27
57.7	20
58.0	20
24.0	18

[10]
Simulated X-ray diffraction stick pattern of Sm4Dy2Th5 for a wavelength of 1.5418 Å, from a cell relaxed with PBE.

Cell and atoms:
Cell: 8.8839 3.4770 11.7639 Å, 90.00 94.52 90.00°
Fractional positions:
Sm: 0.1588 0.0000 0.4019
Sm: 0.2949 0.0000 0.9467
Sm: 0.7051 0.0000 0.0533
Sm: 0.8412 0.0000 0.5981
Dy: 0.0573 0.5000 0.1367
Dy: 0.9427 0.5000 0.8633
Th: 0.2088 0.5000 0.6767
Th: 0.4272 0.5000 0.2131
Th: 0.5000 0.5000 0.5000
Th: 0.5728 0.5000 0.7869
Th: 0.7912 0.5000 0.3233

Top 6 peaks for 2θ from 5° to 70°, most intense first:
2θ/deg	intensity
31.4	100
30.6	100
31.7	98
31.2	52
32.0	42
29.9	40

[11]
Simulated X-ray diffraction stick pattern of SmDy12Th5 for a wavelength of 1.5418 Å, from a cell relaxed with PBE.

Cell and atoms:
Cell: 6.2044 6.2044 17.3280 Å, 93.40 93.40 120.01°
Fractional positions:
Sm: 0.0000 0.0000 0.0000
Dy: 0.0557 0.7186 0.1668
Dy: 0.1132 0.4468 0.3372
Dy: 0.2205 0.2205 0.6625
Dy: 0.2814 0.9443 0.8332
Dy: 0.3928 0.3928 0.1669
Dy: 0.4468 0.1132 0.3372
Dy: 0.5532 0.8868 0.6628
Dy: 0.6072 0.6072 0.8331
Dy: 0.7186 0.0557 0.1668
Dy: 0.7795 0.7795 0.3375
Dy: 0.8868 0.5532 0.6628
Dy: 0.9443 0.2814 0.8332
Th: 0.1666 0.8334 0.5000
Th: 0.3333 0.6667 0.0000
Th: 0.5000 0.5000 0.5000
Th: 0.6667 0.3333 0.0000
Th: 0.8334 0.1666 0.5000

Top 6 peaks for 2θ from 5° to 70°, most intense first:
2θ/deg	intensity
31.2	100
32.0	97
33.7	97
61.0	76
30.1	66
51.0	61

[12]
Simulated X-ray diffraction stick pattern of Sm2Dy3Th2 for a wavelength of 1.5418 Å, from a cell relaxed with PBE.

Cell and atoms:
Cell: 8.9576 8.9576 8.6249 Å, 118.69 118.69 22.23°
Fractional positions:
Sm: 0.0628 0.0628 0.2167
Sm: 0.9372 0.9372 0.7833
Dy: 0.2842 0.2842 0.3668
Dy: 0.5000 0.5000 0.5000
Dy: 0.7158 0.7158 0.6332
Th: 0.3464 0.3464 0.0437
Th: 0.6536 0.6536 0.9563

Top 6 peaks for 2θ from 5° to 70°, most intense first:
2θ/deg	intensity
31.3	100
30.9	70
31.7	64
33.8	57
30.2	53
54.9	32